Entry 1:
PrMgBi2O6: calculated powder diffractogram (Cu Ka), based on a cell relaxed with GGA-PBE.
Neutral-atom scattering factors, no anomalous dispersion.

The 8 most intense peaks (15° ≤ 2θ ≤ 90°), low angle first:
| d_spacing | I (rel.) |
| --- | --- |
| 4.223 | 16.1 |
| 2.986 | 100.0 |
| 2.438 | 15.2 |
| 2.111 | 28.8 |
| 1.724 | 41.9 |
| 1.493 | 18.4 |
| 1.335 | 18.9 |
| 1.129 | 23.2 |

Atomic structure:
a b c (Å): 5.9721 5.9721 5.9721
angles (deg): 60.00 60.00 60.00
Fractional coordinates of all 10 atoms:
Pr 0.0000 0.0000 0.0000
Mg 0.5000 0.5000 0.5000
Bi 0.2500 0.2500 0.2500
Bi 0.7500 0.7500 0.7500
O 0.2668 0.2668 0.7332
O 0.2668 0.7332 0.2668
O 0.2668 0.7332 0.7332
O 0.7332 0.2668 0.2668
O 0.7332 0.2668 0.7332
O 0.7332 0.7332 0.2668



Entry 2:
RbMg6BiO8: calculated powder diffractogram (Cu Ka), based on a cell relaxed with GGA-PBE.
Neutral-atom scattering factors, no anomalous dispersion.

The 8 most intense peaks (15° ≤ 2θ ≤ 90°), low angle first:
| d_spacing | I (rel.) |
| --- | --- |
| 4.530 | 49.9 |
| 4.169 | 38.4 |
| 3.320 | 44.1 |
| 3.118 | 77.5 |
| 2.678 | 84.8 |
| 2.348 | 100.0 |
| 2.265 | 39.8 |
| 1.630 | 53.6 |

Atomic structure:
a b c (Å): 4.6957 4.6957 9.0605
angles (deg): 90.00 90.00 90.00
Fractional coordinates of all 16 atoms:
Rb 0.0000 0.0000 0.0000
Mg 0.0000 0.0000 0.5000
Mg 0.0000 0.5000 0.2736
Mg 0.0000 0.5000 0.7264
Mg 0.5000 0.0000 0.2736
Mg 0.5000 0.0000 0.7264
Mg 0.5000 0.5000 0.5000
Bi 0.5000 0.5000 0.0000
O 0.0000 0.0000 0.2846
O 0.0000 0.0000 0.7154
O 0.0000 0.5000 0.0000
O 0.0000 0.5000 0.5000
O 0.5000 0.0000 0.0000
O 0.5000 0.0000 0.5000
O 0.5000 0.5000 0.2696
O 0.5000 0.5000 0.7304



Entry 3:
Rb2MgBi2O5: calculated powder diffractogram (Cu Ka), based on a cell relaxed with GGA-PBE.
Neutral-atom scattering factors, no anomalous dispersion.

The 8 most intense peaks (15° ≤ 2θ ≤ 90°), low angle first:
| d_spacing | I (rel.) |
| --- | --- |
| 4.941 | 36.1 |
| 3.313 | 91.5 |
| 3.215 | 91.9 |
| 3.073 | 100.0 |
| 2.471 | 39.5 |
| 2.232 | 29.3 |
| 1.925 | 53.8 |
| 1.834 | 38.3 |

Atomic structure:
a b c (Å): 4.4649 4.9410 8.4697
angles (deg): 90.00 90.00 90.00
Fractional coordinates of all 10 atoms:
Rb 0.0000 0.0000 0.0000
Rb 0.0000 0.0000 0.5000
Mg 0.0000 0.5000 0.0000
Bi 0.5000 0.5000 0.2705
Bi 0.5000 0.5000 0.7295
O 0.0000 0.5000 0.2226
O 0.0000 0.5000 0.7774
O 0.5000 0.0000 0.2618
O 0.5000 0.0000 0.7382
O 0.5000 0.5000 0.0000



Entry 4:
RbMg6BiO8: calculated powder diffractogram (Cu Ka), based on a cell relaxed with GGA-PBE.
Neutral-atom scattering factors, no anomalous dispersion.

The 8 most intense peaks (15° ≤ 2θ ≤ 90°), low angle first:
| d_spacing | I (rel.) |
| --- | --- |
| 4.681 | 76.0 |
| 4.654 | 38.9 |
| 3.304 | 100.0 |
| 2.698 | 64.5 |
| 2.341 | 75.7 |
| 2.327 | 35.1 |
| 2.092 | 39.3 |
| 1.650 | 45.1 |

Atomic structure:
a b c (Å): 4.6814 4.6814 9.3088
angles (deg): 90.00 90.00 90.00
Fractional coordinates of all 16 atoms:
Rb 0.0000 0.0000 0.0000
Mg 0.0000 0.5000 0.2279
Mg 0.0000 0.5000 0.7721
Mg 0.5000 0.0000 0.2279
Mg 0.5000 0.0000 0.7721
Mg 0.5000 0.5000 0.0000
Mg 0.5000 0.5000 0.5000
Bi 0.0000 0.0000 0.5000
O 0.0000 0.0000 0.2603
O 0.0000 0.0000 0.7397
O 0.0000 0.5000 0.0000
O 0.0000 0.5000 0.5000
O 0.5000 0.0000 0.0000
O 0.5000 0.0000 0.5000
O 0.5000 0.5000 0.2481
O 0.5000 0.5000 0.7519



Entry 5:
Rb2MgBi2O5: calculated powder diffractogram (Cu Ka), based on a cell relaxed with GGA-PBE.
Neutral-atom scattering factors, no anomalous dispersion.

The 8 most intense peaks (15° ≤ 2θ ≤ 90°), low angle first:
| d_spacing | I (rel.) |
| --- | --- |
| 4.327 | 28.0 |
| 3.495 | 100.0 |
| 3.060 | 73.9 |
| 2.918 | 85.2 |
| 2.163 | 43.2 |
| 1.874 | 31.3 |
| 1.840 | 34.6 |
| 1.738 | 38.1 |

Atomic structure:
a b c (Å): 4.3269 4.3269 11.8562
angles (deg): 90.00 90.00 90.00
Fractional coordinates of all 10 atoms:
Rb 0.0000 0.0000 0.0000
Rb 0.0000 0.0000 0.3423
Mg 0.0000 0.0000 0.6445
Bi 0.5000 0.5000 0.1493
Bi 0.5000 0.5000 0.7469
O 0.0000 0.5000 0.2046
O 0.0000 0.5000 0.6619
O 0.5000 0.0000 0.2046
O 0.5000 0.0000 0.6619
O 0.5000 0.5000 0.9275



Entry 6:
MgZn2Bi6Ru8O27: calculated powder diffractogram (Cu Ka), based on a cell relaxed with GGA-PBE.
Neutral-atom scattering factors, no anomalous dispersion.

The 8 most intense peaks (15° ≤ 2θ ≤ 90°), low angle first:
| d_spacing | I (rel.) |
| --- | --- |
| 3.027 | 50.1 |
| 2.986 | 100.0 |
| 2.973 | 48.3 |
| 2.595 | 47.8 |
| 2.585 | 22.7 |
| 1.846 | 27.9 |
| 1.824 | 27.0 |
| 1.564 | 19.1 |

Atomic structure:
a b c (Å): 7.2970 7.3489 10.3956
angles (deg): 91.08 90.03 90.15
Fractional coordinates of all 44 atoms:
Mg 0.0000 0.0000 0.0000
Zn 0.2231 0.7088 0.0380
Zn 0.3772 0.5628 0.7425
Bi 0.1944 0.2950 0.5152
Bi 0.4309 0.0374 0.7672
Bi 0.6645 0.7475 0.0050
Bi 0.6882 0.3108 0.5334
Bi 0.9092 0.0136 0.2836
Bi 0.9508 0.5235 0.2536
Ru 0.1927 0.7907 0.5088
Ru 0.2113 0.2933 0.0096
Ru 0.4324 0.0315 0.2549
Ru 0.4450 0.5299 0.2695
Ru 0.6859 0.7842 0.5188
Ru 0.7007 0.2830 0.0131
Ru 0.9420 0.0426 0.7481
Ru 0.9484 0.5495 0.7640
O 0.1386 0.5852 0.6301
O 0.1553 0.0032 0.6289
O 0.1580 0.1081 0.8656
O 0.1855 0.5232 0.8888
O 0.2355 0.0711 0.1219
O 0.2356 0.4816 0.1481
O 0.2356 0.5773 0.3887
O 0.2482 0.9789 0.3840
O 0.4342 0.3069 0.6721
O 0.4359 0.7760 0.1735
O 0.4364 0.7789 0.6065
O 0.4378 0.2810 0.3331
O 0.4568 0.2663 0.9531
O 0.6342 0.5822 0.3981
O 0.6353 0.9769 0.3846
O 0.6517 0.4944 0.1398
O 0.6580 0.0723 0.1400
O 0.7279 0.0045 0.6345
O 0.7430 0.5864 0.6437
O 0.7637 0.0781 0.8947
O 0.7768 0.4900 0.9052
O 0.9339 0.2844 0.3894
O 0.9366 0.7896 0.4394
O 0.9421 0.2948 0.6762
O 0.9459 0.8008 0.8312
O 0.9495 0.7826 0.1062
O 0.9527 0.2805 0.0905



Entry 7:
MgZn2Bi6Ru8O27: calculated powder diffractogram (Cu Ka), based on a cell relaxed with GGA-PBE.
Neutral-atom scattering factors, no anomalous dispersion.

The 8 most intense peaks (15° ≤ 2θ ≤ 90°), low angle first:
| d_spacing | I (rel.) |
| --- | --- |
| 3.013 | 100.0 |
| 2.991 | 32.2 |
| 2.629 | 15.3 |
| 2.600 | 17.6 |
| 2.585 | 14.4 |
| 1.843 | 9.9 |
| 1.838 | 16.6 |
| 1.829 | 9.3 |

Atomic structure:
a b c (Å): 7.3709 7.4173 10.3421
angles (deg): 90.01 90.40 90.63
Fractional coordinates of all 44 atoms:
Mg 0.0000 0.0000 0.0000
Zn 0.0796 0.4001 0.2350
Zn 0.2234 0.2917 0.5168
Bi 0.0134 0.9656 0.2899
Bi 0.2617 0.7044 0.0010
Bi 0.4821 0.9811 0.7275
Bi 0.4988 0.4820 0.7293
Bi 0.7365 0.2461 0.4762
Bi 0.7373 0.6964 0.0028
Ru 0.2475 0.7218 0.4909
Ru 0.2593 0.2378 0.9846
Ru 0.4976 0.4729 0.2441
Ru 0.5027 0.9808 0.2330
Ru 0.7360 0.2389 0.9882
Ru 0.7428 0.7281 0.4924
Ru 0.9956 0.4859 0.7415
Ru 0.9975 0.9796 0.7284
O 0.0004 0.7841 0.1209
O 0.0010 0.2472 0.0760
O 0.0122 0.2334 0.6479
O 0.1994 0.4371 0.8653
O 0.1999 0.0272 0.8609
O 0.2038 0.5339 0.6223
O 0.2058 0.9230 0.6117
O 0.2688 0.4876 0.3688
O 0.2956 0.0317 0.1097
O 0.2996 0.8944 0.3489
O 0.3013 0.4360 0.1125
O 0.4779 0.2334 0.5869
O 0.4963 0.7237 0.5731
O 0.4968 0.7256 0.1565
O 0.4981 0.2263 0.9024
O 0.4991 0.7309 0.8641
O 0.5174 0.2225 0.3078
O 0.6723 0.5214 0.3817
O 0.6812 0.4341 0.1119
O 0.6965 0.0298 0.1087
O 0.6997 0.9202 0.3605
O 0.7863 0.5175 0.6160
O 0.7901 0.9348 0.6101
O 0.7924 0.4385 0.8662
O 0.8078 0.0388 0.8635
O 0.9901 0.7346 0.8073
O 0.9943 0.7334 0.4215



Entry 8:
Mg2BiSbO6: calculated powder diffractogram (Cu Ka), based on a cell relaxed with GGA-PBE.
Neutral-atom scattering factors, no anomalous dispersion.

The 8 most intense peaks (15° ≤ 2θ ≤ 90°), low angle first:
| d_spacing | I (rel.) |
| --- | --- |
| 4.038 | 79.3 |
| 3.879 | 36.3 |
| 2.855 | 53.6 |
| 2.797 | 100.0 |
| 2.300 | 33.1 |
| 2.019 | 24.0 |
| 1.806 | 19.4 |
| 1.638 | 39.3 |

Atomic structure:
a b c (Å): 5.5911 8.0773 5.6066
angles (deg): 90.00 92.29 90.00
Fractional coordinates of all 20 atoms:
Mg 0.0212 0.2500 0.4748
Mg 0.4695 0.7500 0.9885
Mg 0.5305 0.2500 0.0115
Mg 0.9788 0.7500 0.5252
Bi 0.0000 0.0000 0.0000
Bi 0.0000 0.5000 0.0000
Sb 0.5000 0.0000 0.5000
Sb 0.5000 0.5000 0.5000
O 0.1262 0.7500 0.8576
O 0.1834 0.5704 0.3721
O 0.1834 0.9296 0.3721
O 0.3610 0.0726 0.8068
O 0.3610 0.4274 0.8068
O 0.3966 0.2500 0.3596
O 0.6034 0.7500 0.6404
O 0.6390 0.5726 0.1932
O 0.6390 0.9274 0.1932
O 0.8166 0.0704 0.6279
O 0.8166 0.4296 0.6279
O 0.8738 0.2500 0.1424



Entry 9:
Mg6SiBiO8: calculated powder diffractogram (Cu Ka), based on a cell relaxed with GGA-PBE.
Neutral-atom scattering factors, no anomalous dispersion.

The 8 most intense peaks (15° ≤ 2θ ≤ 90°), low angle first:
| d_spacing | I (rel.) |
| --- | --- |
| 4.532 | 80.7 |
| 4.053 | 62.3 |
| 3.205 | 72.4 |
| 3.022 | 47.5 |
| 2.617 | 55.0 |
| 2.266 | 100.0 |
| 2.027 | 36.1 |
| 1.602 | 60.2 |

Atomic structure:
a b c (Å): 4.5303 4.5303 9.0725
angles (deg): 90.00 90.00 90.00
Fractional coordinates of all 16 atoms:
Mg 0.0000 0.0000 0.0000
Mg 0.0000 0.0000 0.5000
Mg 0.0000 0.5000 0.2412
Mg 0.0000 0.5000 0.7588
Mg 0.5000 0.0000 0.2412
Mg 0.5000 0.0000 0.7588
Si 0.5000 0.5000 0.0000
Bi 0.5000 0.5000 0.5000
O 0.0000 0.0000 0.2438
O 0.0000 0.0000 0.7562
O 0.0000 0.5000 0.0000
O 0.0000 0.5000 0.5000
O 0.5000 0.0000 0.0000
O 0.5000 0.0000 0.5000
O 0.5000 0.5000 0.1871
O 0.5000 0.5000 0.8129



Entry 10:
Mg6SiBiO8: calculated powder diffractogram (Cu Ka), based on a cell relaxed with GGA-PBE.
Neutral-atom scattering factors, no anomalous dispersion.

The 8 most intense peaks (15° ≤ 2θ ≤ 90°), low angle first:
| d_spacing | I (rel.) |
| --- | --- |
| 4.582 | 66.1 |
| 4.073 | 100.0 |
| 3.190 | 56.7 |
| 3.044 | 55.4 |
| 2.618 | 70.4 |
| 2.291 | 99.2 |
| 2.221 | 61.0 |
| 1.595 | 62.4 |

Atomic structure:
a b c (Å): 4.5825 4.5825 8.8872
angles (deg): 90.00 90.00 90.00
Fractional coordinates of all 16 atoms:
Mg 0.0000 0.0000 0.0000
Mg 0.0000 0.5000 0.2335
Mg 0.0000 0.5000 0.7665
Mg 0.5000 0.0000 0.2335
Mg 0.5000 0.0000 0.7665
Mg 0.5000 0.5000 0.0000
Si 0.0000 0.0000 0.5000
Bi 0.5000 0.5000 0.5000
O 0.0000 0.0000 0.2325
O 0.0000 0.0000 0.7675
O 0.0000 0.5000 0.0000
O 0.0000 0.5000 0.5000
O 0.5000 0.0000 0.0000
O 0.5000 0.0000 0.5000
O 0.5000 0.5000 0.2288
O 0.5000 0.5000 0.7712



Entry 11:
Sm2MgBi2O8: calculated powder diffractogram (Cu Ka), based on a cell relaxed with GGA-PBE.
Neutral-atom scattering factors, no anomalous dispersion.

The 8 most intense peaks (15° ≤ 2θ ≤ 90°), low angle first:
| d_spacing | I (rel.) |
| --- | --- |
| 3.541 | 100.0 |
| 3.115 | 72.2 |
| 2.839 | 26.4 |
| 2.755 | 25.0 |
| 2.322 | 17.5 |
| 2.187 | 24.4 |
| 2.068 | 18.1 |
| 2.034 | 21.4 |

Atomic structure:
a b c (Å): 5.6042 5.7757 7.0453
angles (deg): 109.65 108.90 100.50
Fractional coordinates of all 13 atoms:
Sm 0.0000 0.0000 0.0000
Sm 0.2561 0.7549 0.5116
Mg 0.9495 0.4497 0.8996
Bi 0.5493 0.5492 0.0992
Bi 0.7155 0.2145 0.4302
O 0.0210 0.6054 0.6858
O 0.2102 0.2311 0.8581
O 0.2934 0.7872 0.1575
O 0.4070 0.4225 0.3195
O 0.6476 0.6273 0.8582
O 0.6653 0.0793 0.6863
O 0.8636 0.3693 0.1577
O 0.9125 0.8956 0.3200